1.
Theoretical PXRD pattern
Compound: RbDyRuO6
Radiation: Cu Kα, 1.54184 Å
Structure: a crystal structure in Alexandria, relaxed with PBE
Neutral-atom scattering factors, no anomalous dispersion.

Crystal structure
```
data_RbDyRuO6
_symmetry_space_group_name_H-M 'P 3 1 2'
_symmetry_Int_Tables_number 149
_cell_length_a 5.6352
_cell_length_b 5.6352
_cell_length_c 6.1564
_cell_angle_alpha 90.00
_cell_angle_beta 90.00
_cell_angle_gamma 120.00
loop_
_symmetry_equiv_pos_as_xyz
'x,y,z'
'-y,x-y,z'
'-x+y,-x,z'
'-y,-x,-z'
'-x+y,y,-z'
'x,x-y,-z'
loop_
_atom_site_label
_atom_site_fract_x
_atom_site_fract_y
_atom_site_fract_z
Rb1 0.0000 0.0000 0.0000
Dy1 0.3333 0.6667 0.5000
Ru1 0.6667 0.3333 0.5000
O1 0.4115 0.0469 0.6786
```

Most intense lines, 10° ≤ 2θ ≤ 90°, by angle:
hkl 0 0 1, 14.39 deg, rel. 48; hkl 1 0 1, 23.26 deg, rel. 100; hkl 0 0 2, 29.01 deg, rel. 15; hkl 1 1 0, 31.76 deg, rel. 40; hkl 2 -1 1, 35.02 deg, rel. 19; hkl 2 0 1, 39.74 deg, rel. 20; hkl 2 -1 2, 43.55 deg, rel. 50; hkl 3 -1 1, 51.74 deg, rel. 22; hkl 3 0 0, 56.58 deg, rel. 12; hkl 2 0 3, 58.76 deg, rel. 15

2.
Theoretical PXRD pattern
Compound: CeSm4S7
Radiation: Cu Kα, 1.54184 Å
Structure: a crystal structure in Alexandria, relaxed with PBE
Neutral-atom scattering factors, no anomalous dispersion.

Crystal structure
```
data_CeSm4S7
_symmetry_space_group_name_H-M 'C 1 m 1'
_symmetry_Int_Tables_number 8
_cell_length_a 13.2764
_cell_length_b 3.9083
_cell_length_c 11.8464
_cell_angle_alpha 90.00
_cell_angle_beta 104.83
_cell_angle_gamma 90.00
loop_
_symmetry_equiv_pos_as_xyz
'x,y,z'
'x,-y,z'
'x+1/2,y+1/2,z'
'x+1/2,-y+1/2,z'
loop_
_atom_site_label
_atom_site_fract_x
_atom_site_fract_y
_atom_site_fract_z
Ce1 0.0000 0.0000 0.0000
Sm1 0.1121 0.0000 0.4215
Sm2 0.2244 0.0000 0.8405
Sm3 0.3121 0.5000 0.2337
Sm4 0.4127 0.0000 0.6098
S1 0.0687 0.0000 0.6357
S2 0.1125 0.5000 0.9187
S3 0.1559 0.0000 0.2069
S4 0.2714 0.5000 0.4715
S5 0.3514 0.5000 0.7704
S6 0.3703 0.0000 0.0698
S7 0.4535 0.0000 0.3704
```

Most intense lines, 10° ≤ 2θ ≤ 90°, by angle:
hkl 2 0 2, 23.32 deg, rel. 88; hkl 2 0 -3, 23.86 deg, rel. 100; hkl 1 1 1, 25.61 deg, rel. 31; hkl 4 0 -1, 26.87 deg, rel. 37; hkl 3 1 -1, 30.62 deg, rel. 35; hkl 3 1 -2, 32.24 deg, rel. 57; hkl 3 1 1, 33.31 deg, rel. 40; hkl 1 1 -4, 38.15 deg, rel. 27; hkl 1 1 4, 41.12 deg, rel. 31; hkl 0 2 0, 46.47 deg, rel. 27

3.
Theoretical PXRD pattern
Compound: Sr5Fe2N4
Radiation: Cu Kα, 1.54184 Å
Structure: a crystal structure in Alexandria, relaxed with PBE
Neutral-atom scattering factors, no anomalous dispersion.

Crystal structure
```
data_Sr5Fe2N4
_symmetry_space_group_name_H-M 'P 4/n c c'
_symmetry_Int_Tables_number 130
_cell_length_a 8.7254
_cell_length_b 8.7254
_cell_length_c 12.3852
_cell_angle_alpha 90.00
_cell_angle_beta 90.00
_cell_angle_gamma 90.00
loop_
_symmetry_equiv_pos_as_xyz
'x,y,z'
'-x,-y,-z'
'-y+1/2,x,z'
'y+1/2,-x,-z'
'-x+1/2,-y+1/2,z'
'x+1/2,y+1/2,-z'
'y,-x+1/2,z'
'-y,x+1/2,-z'
'x+1/2,-y,-z+1/2'
'-x+1/2,y,z+1/2'
'-y,-x,-z+1/2'
'y,x,z+1/2'
'-x,y+1/2,-z+1/2'
'x,-y+1/2,z+1/2'
'y+1/2,x+1/2,-z+1/2'
'-y+1/2,-x+1/2,z+1/2'
loop_
_atom_site_label
_atom_site_fract_x
_atom_site_fract_y
_atom_site_fract_z
Sr1 0.0707 0.6359 0.1019
Sr2 0.2500 0.2500 0.1626
Fe1 0.0916 0.5916 0.7500
N1 0.0554 0.6416 0.8840
```

Most intense lines, 10° ≤ 2θ ≤ 90°, by angle:
hkl 1 1 0, 14.35 deg, rel. 15; hkl 2 1 2, 27.01 deg, rel. 39; hkl 0 0 4, 28.83 deg, rel. 15; hkl 2 1 3, 31.55 deg, rel. 100; hkl 3 1 0, 32.45 deg, rel. 67; hkl 3 1 1, 33.27 deg, rel. 23; hkl 0 0 6, 43.92 deg, rel. 16; hkl 4 2 0, 46.55 deg, rel. 11; hkl 4 2 1, 47.16 deg, rel. 13; hkl 5 0 2, 54.64 deg, rel. 22

4.
Theoretical PXRD pattern
Compound: Sm4Np
Radiation: Cu Kα, 1.54184 Å
Structure: a crystal structure in Alexandria, relaxed with PBE
Neutral-atom scattering factors, no anomalous dispersion.

Crystal structure
```
data_Sm4Np
_symmetry_space_group_name_H-M 'P m -3 m'
_symmetry_Int_Tables_number 221
_symmetry_space_group_name_Hall '-P 4 2 3'
_cell_length_a 5.6467
_cell_length_b 5.6467
_cell_length_c 5.6467
_cell_angle_alpha 90.00
_cell_angle_beta 90.00
_cell_angle_gamma 90.00
loop_
_atom_site_label
_atom_site_fract_x
_atom_site_fract_y
_atom_site_fract_z
Sm1 0.0000 0.0000 0.0000
Sm2 0.0000 0.5000 0.5000
Np1 0.5000 0.5000 0.5000
```

Most intense lines, 10° ≤ 2θ ≤ 90°, by angle:
hkl 1 0 0, 15.69 deg, rel. 41; hkl 1 1 0, 22.26 deg, rel. 37; hkl 1 1 1, 27.36 deg, rel. 39; hkl 2 0 0, 31.69 deg, rel. 100; hkl 2 1 0, 35.55 deg, rel. 23; hkl 2 1 1, 39.07 deg, rel. 18; hkl 2 2 0, 45.43 deg, rel. 75; hkl 2 2 2, 56.45 deg, rel. 26; hkl 4 2 0, 75.26 deg, rel. 34; hkl 4 2 2, 83.96 deg, rel. 26